Structure and calculated powder diffractogram of CsBa2PrCl8 (a crystal structure in Alexandria, relaxed with PBE; λ = 1.5418 Å (Cu Kα)).
Lines closer than 0.1° are merged.

Top 8 peaks for 2θ = 15–90°, low angle first:
4.307 Å, intensity 80; 4.243 Å, intensity 81; 2.642 Å, intensity 27; 2.620 Å, intensity 100; 2.584 Å, intensity 22; 2.244 Å, intensity 37; 2.216 Å, intensity 27; 1.847 Å, intensity 15

Structure:
```
CsBa2PrCl8
1.0
5.284 0.000 0.000
0.000 10.336 0.000
-0.025 0.000 7.432
Cs Ba Pr Cl
1 2 1 8
direct
0.000 0.000 0.000
0.500 0.249 0.500
0.500 0.751 0.500
0.000 0.500 0.000
0.001 0.291 0.750
0.001 0.709 0.750
0.499 0.000 0.728
0.499 0.500 0.216
0.501 0.000 0.272
0.501 0.500 0.784
0.999 0.291 0.250
0.999 0.709 0.250
```

---

Structure and calculated powder diffractogram of Pm3DyPb2C (a crystal structure in Alexandria, relaxed with PBE; λ = 1.5418 Å (Cu Kα)).
Lines closer than 0.1° are merged.

Top 8 peaks for 2θ = 15–90°, low angle first:
3.481 Å, intensity 22; 3.209 Å, intensity 53; 2.761 Å, intensity 29; 2.665 Å, intensity 100; 2.489 Å, intensity 29; 2.436 Å, intensity 27; 1.741 Å, intensity 20; 1.496 Å, intensity 18

Structure:
```
Pm3DyPb2C
1.0
-2.436 2.489 8.283
2.436 -2.489 8.283
2.436 2.489 -8.283
Pm Dy Pb C
3 1 2 1
direct
0.000 0.000 0.000
0.341 0.841 0.500
0.659 0.159 0.500
0.500 0.500 0.000
0.140 0.640 0.500
0.860 0.360 0.500
0.500 0.000 0.500
```

---

Structure and calculated powder diffractogram of Ba5ZnAg4 (a crystal structure in Alexandria, relaxed with PBE; λ = 1.5418 Å (Cu Kα)).
Lines closer than 0.1° are merged.

Top 8 peaks for 2θ = 15–90°, low angle first:
2.918 Å, intensity 50; 2.909 Å, intensity 100; 2.064 Å, intensity 18; 1.683 Å, intensity 38; 1.677 Å, intensity 19; 1.454 Å, intensity 12; 1.103 Å, intensity 10; 1.101 Å, intensity 10

Structure:
```
Ba5ZnAg4
1.0
4.127 0.000 0.000
0.000 4.127 0.000
0.000 0.000 20.497
Ba Zn Ag
5 1 4
direct
0.000 0.000 0.000
0.000 0.000 0.199
0.000 0.000 0.401
0.000 0.000 0.599
0.000 0.000 0.801
0.500 0.500 0.500
0.500 0.500 0.100
0.500 0.500 0.300
0.500 0.500 0.700
0.500 0.500 0.900
```

---

Structure and calculated powder diffractogram of Tl5In2Sn (a crystal structure in Alexandria, relaxed with PBE; λ = 1.5418 Å (Cu Kα)).
Lines closer than 0.1° are merged.

Top 8 peaks for 2θ = 15–90°, low angle first:
2.751 Å, intensity 100; 1.948 Å, intensity 6; 1.944 Å, intensity 12; 1.589 Å, intensity 39; 1.376 Å, intensity 12; 1.232 Å, intensity 6; 1.230 Å, intensity 11; 1.123 Å, intensity 4

Structure:
```
Tl5In2Sn
1.0
3.897 -5.499 0.000
3.897 5.499 0.000
-3.896 0.000 5.499
Tl In Sn
5 2 1
direct
0.000 0.000 0.000
0.000 0.000 0.500
0.498 0.998 0.498
0.499 0.499 0.001
0.998 0.498 0.498
0.499 0.998 0.998
0.998 0.499 0.998
0.500 0.500 0.502
```

---

Structure and calculated powder diffractogram of Ru3PtW2 (a crystal structure in Alexandria, relaxed with PBE; λ = 1.5418 Å (Cu Kα)).
Lines closer than 0.1° are merged.

Top 8 peaks for 2θ = 15–90°, low angle first:
4.143 Å, intensity 23; 3.367 Å, intensity 37; 2.370 Å, intensity 51; 2.282 Å, intensity 59; 2.245 Å, intensity 46; 2.227 Å, intensity 87; 2.072 Å, intensity 100; 2.043 Å, intensity 55

Structure:
```
Ru3PtW2
1.0
-4.087 4.087 5.943
4.087 -4.087 5.943
4.087 4.087 -5.943
Ru Pt W
12 4 8
direct
0.000 0.000 0.000
0.000 0.000 0.500
0.000 0.500 0.000
0.159 0.409 0.318
0.159 0.841 0.750
0.409 0.159 0.818
0.409 0.591 0.250
0.500 0.000 0.500
0.591 0.409 0.750
0.591 0.841 0.182
0.841 0.159 0.250
0.841 0.591 0.682
0.157 0.407 0.750
0.407 0.157 0.250
0.593 0.843 0.750
0.843 0.593 0.250
0.157 0.217 0.940
0.217 0.157 0.440
0.217 0.777 0.060
0.223 0.783 0.440
0.777 0.217 0.560
0.783 0.223 0.940
0.783 0.843 0.560
0.843 0.783 0.060
```

---

Structure and calculated powder diffractogram of PrDyTm2Sc (a crystal structure in Alexandria, relaxed with PBE; λ = 1.5418 Å (Cu Kα)).
Lines closer than 0.1° are merged.

Top 8 peaks for 2θ = 15–90°, low angle first:
3.094 Å, intensity 16; 2.778 Å, intensity 24; 2.701 Å, intensity 100; 2.066 Å, intensity 15; 1.786 Å, intensity 13; 1.589 Å, intensity 20; 1.502 Å, intensity 15; 1.488 Å, intensity 11

Structure:
```
PrDyTm2Sc
1.0
6.194 0.000 0.000
0.000 5.556 0.000
-3.082 0.000 8.907
Pr Dy Tm Sc
2 2 4 2
direct
0.234 0.250 0.306
0.766 0.750 0.694
0.366 0.750 0.899
0.634 0.250 0.101
0.035 0.250 0.899
0.428 0.250 0.695
0.572 0.750 0.305
0.965 0.750 0.101
0.156 0.750 0.501
0.844 0.250 0.499
```

---

Structure and calculated powder diffractogram of La8Tb3Sc (a crystal structure in Alexandria, relaxed with PBE; λ = 1.5418 Å (Cu Kα)).
Lines closer than 0.1° are merged.

Top 8 peaks for 2θ = 15–90°, low angle first:
3.723 Å, intensity 74; 3.518 Å, intensity 82; 3.102 Å, intensity 79; 2.944 Å, intensity 77; 2.775 Å, intensity 53; 2.510 Å, intensity 100; 2.136 Å, intensity 53; 2.056 Å, intensity 41

Structure:
```
La8Tb3Sc
1.0
-4.387 4.387 5.888
4.387 -4.387 5.888
4.387 4.387 -5.888
La Tb Sc
8 3 1
direct
0.128 0.128 0.750
0.244 0.731 0.000
0.269 0.269 0.513
0.378 0.378 0.250
0.622 0.872 0.000
0.731 0.244 0.000
0.756 0.756 0.487
0.872 0.622 0.000
0.000 0.000 0.000
0.250 0.750 0.500
0.750 0.250 0.500
0.500 0.500 0.000
```

---

Structure and calculated powder diffractogram of Sr2PtO4 (a crystal structure in Alexandria, relaxed with PBE; λ = 1.5418 Å (Cu Kα)).
Lines closer than 0.1° are merged.

Top 8 peaks for 2θ = 15–90°, low angle first:
3.764 Å, intensity 19; 2.929 Å, intensity 100; 2.777 Å, intensity 61; 2.198 Å, intensity 18; 1.964 Å, intensity 26; 1.724 Å, intensity 25; 1.631 Å, intensity 41; 1.465 Å, intensity 17

Structure:
```
Sr2PtO4
1.0
-2.777 2.777 13.191
2.777 -2.777 13.191
2.777 2.777 -13.191
Sr Pt O
8 4 16
direct
0.050 0.300 0.750
0.200 0.450 0.750
0.300 0.050 0.250
0.450 0.200 0.250
0.550 0.800 0.750
0.700 0.950 0.750
0.800 0.550 0.250
0.950 0.700 0.250
0.125 0.875 0.250
0.375 0.625 0.750
0.625 0.375 0.250
0.875 0.125 0.750
0.045 0.795 0.250
0.056 0.806 0.612
0.194 0.306 0.250
0.205 0.955 0.250
0.295 0.545 0.750
0.306 0.556 0.112
0.444 0.056 0.750
0.455 0.705 0.750
0.545 0.295 0.250
0.556 0.944 0.250
0.694 0.444 0.888
0.705 0.455 0.250
0.795 0.045 0.750
0.806 0.694 0.750
0.944 0.194 0.388
0.955 0.205 0.750
```